Starting from a DFT-relaxed cell (PBE+U, Alexandria), the powder diffraction line list of VTe4O12 was simulated for Cu Kα, 1.54184 Å.
No peak broadening, texture or thermal motion is included.

Top 10 peaks for 15° ≤ 2θ ≤ 90°, low angle first:
2θ/deg  intensity
17.3  22
22.2  97
22.9  91
23.6  100
29.9  34
30.6  35
31.2  31
34.3  36
34.6  26
34.9  35

Atomic structure:
abc: 5.147 5.834 8.140
angles: 79.10 89.35 88.20
Space group P1 (No. 1)
Inequivalent atoms, fractional coordinates:
V  0.000  0.000  0.000
Te  0.039  0.316  0.672
Te  0.060  0.394  0.227
Te  0.501  0.845  0.210
Te  0.506  0.783  0.662
O  0.134  0.291  0.910
O  0.188  0.026  0.239
O  0.192  0.630  0.616
O  0.310  0.814  0.004
O  0.325  0.142  0.604
O  0.365  0.534  0.306
O  0.637  0.856  0.430
O  0.698  0.115  0.107
O  0.718  0.479  0.716
O  0.813  0.694  0.132
O  0.883  0.009  0.782
O  0.891  0.342  0.440